No. 1
For Li9TiMn3P6O24, a crystal structure in the Materials Project, relaxed with GGA+U gives the theoretical powder XRD pattern in this record (CuKα).
No peak broadening, texture or thermal motion is included.

Peak list (10 most intense, 2θ = 10–80°, by angle)
| 2θ (°) | intensity |
| --- | --- |
| 13.95 | 100 |
| 14.26 | 43 |
| 19.07 | 62 |
| 19.18 | 89 |
| 23.37 | 89 |
| 23.52 | 87 |
| 23.80 | 85 |
| 30.56 | 87 |
| 30.63 | 54 |
| 31.04 | 57 |

Structural model:
```
Li9TiMn3P6O24
1.0
8.539 0.000 0.000
-4.146 7.496 0.000
-0.185 -4.922 7.898
Li Ti Mn P O
9 1 3 6 24
direct
0.000 0.000 0.000
0.005 0.821 0.688
0.234 0.976 0.267
0.325 0.602 0.777
0.513 0.627 0.200
0.533 0.731 0.503
0.582 0.182 0.742
0.811 0.204 0.250
0.930 0.798 0.265
0.593 0.469 0.651
0.109 0.507 0.178
0.402 0.070 0.035
0.930 0.142 0.596
0.200 0.282 0.363
0.299 0.285 0.856
0.519 0.989 0.366
0.707 0.974 0.855
0.782 0.548 0.356
0.992 0.604 0.884
0.031 0.667 0.073
0.069 0.470 0.782
0.088 0.109 0.407
0.089 0.371 0.340
0.089 0.808 0.878
0.098 0.100 0.732
0.233 0.163 0.194
0.287 0.427 0.027
0.392 0.468 0.506
0.408 0.426 0.782
0.413 0.199 0.880
0.414 0.774 0.357
0.432 0.950 0.197
0.483 0.143 0.511
0.509 0.896 0.876
0.669 0.322 0.206
0.707 0.019 0.709
0.710 0.682 0.349
0.731 0.075 0.394
0.745 0.798 0.807
0.774 0.547 0.523
0.775 0.473 0.802
0.869 0.164 0.021
0.991 0.662 0.361
```


No. 2
For Li3MnVP3O12, a crystal structure in the Materials Project, relaxed with GGA+U gives the theoretical powder XRD pattern in this record (CuKα).
No peak broadening, texture or thermal motion is included.

Peak list (10 most intense, 2θ = 10–80°, by angle)
| 2θ (°) | intensity |
| --- | --- |
| 14.14 | 32 |
| 14.38 | 20 |
| 19.99 | 15 |
| 20.21 | 33 |
| 20.45 | 40 |
| 23.63 | 100 |
| 24.14 | 44 |
| 28.50 | 21 |
| 29.00 | 37 |
| 32.32 | 39 |

Structural model:
```
Li3MnVP3O12
1.0
7.537 -4.316 0.000
7.537 4.316 0.000
-4.888 0.000 7.306
Li Mn V P O
6 2 2 6 24
direct
0.076 0.924 0.500
0.221 0.533 0.030
0.533 0.221 0.530
0.548 0.809 0.461
0.809 0.548 0.961
0.924 0.076 0.000
0.037 0.544 0.351
0.544 0.037 0.851
0.338 0.828 0.066
0.828 0.338 0.566
0.140 0.228 0.949
0.228 0.140 0.449
0.435 0.659 0.668
0.659 0.435 0.168
0.716 0.934 0.252
0.934 0.716 0.752
0.074 0.170 0.512
0.112 0.425 0.097
0.116 0.735 0.913
0.170 0.074 0.012
0.191 0.306 0.397
0.238 0.955 0.283
0.239 0.666 0.526
0.306 0.191 0.897
0.425 0.112 0.597
0.447 0.706 0.865
0.457 0.583 0.122
0.480 0.804 0.655
0.564 0.898 0.264
0.583 0.457 0.622
0.666 0.239 0.026
0.675 0.933 0.064
0.706 0.447 0.365
0.735 0.116 0.413
0.777 0.916 0.794
0.804 0.480 0.155
0.898 0.564 0.764
0.916 0.777 0.294
0.933 0.675 0.564
0.955 0.238 0.783
```


No. 3
For Li3MnVP3O12, a crystal structure in the Materials Project, relaxed with GGA+U gives the theoretical powder XRD pattern in this record (CuKα).
No peak broadening, texture or thermal motion is included.

Peak list (10 most intense, 2θ = 10–80°, by angle)
| 2θ (°) | intensity |
| --- | --- |
| 13.79 | 36 |
| 15.76 | 39 |
| 16.63 | 100 |
| 29.33 | 31 |
| 29.45 | 31 |
| 31.79 | 18 |
| 32.04 | 20 |
| 32.38 | 28 |
| 32.74 | 25 |
| 35.39 | 19 |

Structural model:
```
Li3MnVP3O12
1.0
6.322 0.000 0.000
-2.399 8.296 0.000
-2.306 -1.547 8.251
Li Mn V P O
6 2 2 6 24
direct
0.000 0.000 0.000
0.247 0.506 0.497
0.252 0.213 0.790
0.500 0.000 0.000
0.748 0.787 0.210
0.753 0.494 0.503
0.132 0.559 0.871
0.868 0.441 0.129
0.361 0.120 0.444
0.639 0.880 0.556
0.135 0.838 0.633
0.249 0.783 0.211
0.364 0.359 0.164
0.636 0.641 0.836
0.751 0.217 0.789
0.865 0.162 0.367
0.024 0.672 0.235
0.093 0.159 0.489
0.105 0.654 0.643
0.174 0.447 0.112
0.203 0.953 0.794
0.232 0.960 0.236
0.272 0.759 0.037
0.294 0.200 0.046
0.327 0.903 0.548
0.398 0.341 0.347
0.405 0.515 0.839
0.465 0.757 0.326
0.535 0.243 0.674
0.595 0.485 0.161
0.602 0.659 0.653
0.673 0.097 0.452
0.706 0.800 0.954
0.728 0.241 0.963
0.768 0.040 0.764
0.797 0.047 0.206
0.826 0.553 0.888
0.895 0.346 0.357
0.907 0.841 0.511
0.976 0.328 0.765
```


No. 4
For LiMnVP4O14, a crystal structure in the Materials Project, relaxed with GGA+U gives the theoretical powder XRD pattern in this record (CuKα).
No peak broadening, texture or thermal motion is included.

Peak list (10 most intense, 2θ = 10–80°, by angle)
| 2θ (°) | intensity |
| --- | --- |
| 16.94 | 100 |
| 17.38 | 98 |
| 22.25 | 56 |
| 22.85 | 43 |
| 26.67 | 37 |
| 28.88 | 38 |
| 29.06 | 62 |
| 29.43 | 32 |
| 30.04 | 47 |
| 30.17 | 21 |

Structural model:
```
LiMnVP4O14
1.0
4.857 0.000 0.000
2.193 6.685 0.000
0.199 0.211 8.144
Li Mn V P O
1 1 1 4 14
direct
0.000 0.000 0.000
0.623 0.408 0.140
0.043 0.955 0.628
0.064 0.581 0.913
0.241 0.156 0.311
0.439 0.188 0.813
0.623 0.764 0.418
0.016 0.190 0.175
0.104 0.159 0.484
0.220 0.069 0.807
0.244 0.591 0.062
0.253 0.421 0.784
0.422 0.775 0.571
0.428 0.295 0.305
0.447 0.930 0.283
0.584 0.166 0.979
0.656 0.141 0.670
0.718 0.571 0.331
0.792 0.524 0.960
0.884 0.831 0.469
0.981 0.783 0.819
```